Diffraction record for Dy4HoSe7. The powder XRD pattern is theoretical, not measured: it uses a structure optimized by DFT (PBE) and λ = 1.5418 Å (Cu Kα).
Lines closer than 0.1° are merged.

Crystal structure
a = 6.9747 Å, b = 6.9747 Å, c = 12.1844 Å
α = 103.84°, β = 103.84°, γ = 33.03°
Atoms (fractional coordinates):
1 Dy 0.0000 0.0000 0.0000
2 Dy 0.1871 0.1871 0.7655
3 Dy 0.5878 0.5878 0.3900
4 Dy 0.8873 0.8873 0.5773
5 Ho 0.7745 0.7745 0.1555
6 Se 0.1466 0.1466 0.2256
7 Se 0.2275 0.2275 0.5274
8 Se 0.3866 0.3866 0.0779
9 Se 0.5472 0.5472 0.6280
10 Se 0.6291 0.6291 0.9301
11 Se 0.8474 0.8474 0.7931
12 Se 0.9271 0.9271 0.3614

Most intense lines, 10° ≤ 2θ ≤ 80°, by angle:
| two_theta | Rel. int. |
| --- | --- |
| 22.78 | 92 |
| 23.35 | 73 |
| 30.26 | 78 |
| 30.61 | 43 |
| 31.82 | 100 |
| 32.81 | 75 |
| 37.22 | 51 |
| 40.08 | 53 |
| 45.46 | 44 |
| 45.77 | 59 |